TcTe2Ru2: simulated XRD peak list (Cu Kα), based on DFT lattice parameters and positions (GGA-PBE).

Structural model:
```
TcTe2Ru2
1.0
7.4597 0.0000 0.0000
0.0000 7.4597 0.0000
0.0000 0.0000 3.1787
Tc Te Ru
2 4 4
Direct
0.0000 0.0000 0.0000
0.5000 0.5000 0.0000
0.1597 0.3403 0.0000
0.3403 0.8403 0.0000
0.6597 0.1597 0.0000
0.8403 0.6597 0.0000
0.1415 0.6415 0.5000
0.3585 0.1415 0.5000
0.6415 0.8585 0.5000
0.8585 0.3585 0.5000
```

Principal peaks in the range 10° ≤ 2θ ≤ 80°, low angle first:
| index | 2θ/deg | I (rel.) |
| --- | --- | --- |
| 1 1 1 | 32.90 | 8 |
| 2 2 0 | 33.99 | 7 |
| 3 1 0 | 38.15 | 54 |
| 2 1 1 | 39.14 | 100 |
| 4 0 0 | 48.83 | 7 |
| 3 3 0 | 52.01 | 9 |
| 0 0 2 | 58.03 | 10 |
| 4 1 1 | 58.72 | 13 |
| 4 4 0 | 71.58 | 21 |
| 5 2 1 | 74.76 | 20 |